This entry pairs a crystal structure of Pu2UGa with its simulated PXRD pattern. Radiation: copper Kα. Structure: a DFT-relaxed cell (GGA-PBE, Alexandria).
Neutral-atom scattering factors, no anomalous dispersion.

Most intense lines, 2θ from 10° to 90°, in order of rising 2θ:
| 2θ/deg | Rel. int. |
| --- | --- |
| 11.1 | 14 |
| 22.2 | 17 |
| 22.4 | 11 |
| 29.7 | 16 |
| 35.8 | 100 |
| 39.5 | 55 |
| 45.8 | 11 |
| 54.0 | 23 |
| 57.1 | 19 |
| 69.2 | 30 |
| 82.4 | 14 |
| 84.1 | 9 |

Structure:
```
data_Pu2UGa
_cell_length_a 4.564
_cell_length_b 4.564
_cell_length_c 7.993
_cell_angle_alpha 90.00
_cell_angle_beta 90.00
_cell_angle_gamma 90.00
_space_group_name_H-M_alt 'P 1'
_space_group_IT_number 1
loop_
_space_group_symop_operation_xyz
'x,y,z'
loop_
_atom_site_label
_atom_site_fract_x
_atom_site_fract_y
_atom_site_fract_z
Pu1 0.250 0.750 0.000
Pu2 0.250 0.750 0.500
Pu3 0.750 0.250 0.000
Pu4 0.750 0.250 0.500
U1 0.250 0.250 0.161
U2 0.750 0.750 0.839
Ga1 0.250 0.250 0.756
Ga2 0.750 0.750 0.244
```

This entry pairs a crystal structure of SmZrGa2 with its simulated PXRD pattern. Radiation: copper Kα. Structure: a DFT-relaxed cell (GGA-PBE, Alexandria).
Neutral-atom scattering factors, no anomalous dispersion.

Most intense lines, 2θ from 10° to 90°, in order of rising 2θ:
| 2θ/deg | Rel. int. |
| --- | --- |
| 22.0 | 5 |
| 25.4 | 8 |
| 36.2 | 100 |
| 42.8 | 3 |
| 44.8 | 2 |
| 52.2 | 17 |
| 57.3 | 1 |
| 58.9 | 3 |
| 65.2 | 35 |
| 76.9 | 11 |
| 82.5 | 1 |
| 88.1 | 15 |

Structure:
```
data_SmZrGa2
_cell_length_a 4.959
_cell_length_b 4.959
_cell_length_c 4.959
_cell_angle_alpha 60.00
_cell_angle_beta 60.00
_cell_angle_gamma 60.00
_space_group_name_H-M_alt 'P 1'
_space_group_IT_number 1
loop_
_space_group_symop_operation_xyz
'x,y,z'
loop_
_atom_site_label
_atom_site_fract_x
_atom_site_fract_y
_atom_site_fract_z
Sm1 0.000 0.000 0.000
Zr1 0.500 0.500 0.500
Ga1 0.250 0.250 0.250
Ga2 0.750 0.750 0.750
```